No. 1
Simulated powder diffraction line list of Li9Mn2Co5O16 for Cu Kα, from a structure optimized by DFT (PBE+U).
Kinematic intensities with the Lorentz-polarization factor, no thermal factor.

Peak list (6 most intense, 2θ = 10–90°, low angle first)
d_spacing, 2theta, I_rel
4.802, 18.48, 100
2.573, 34.87, 17
2.442, 36.81, 24
2.152, 41.98, 31
2.026, 44.74, 50
1.475, 63.02, 30

Structural model:
Cell: 5.184 11.338 5.191 Å, 90.00 112.14 90.00°
Sites, in units of the cell vectors:
Li 0.000 0.000 0.000
Li 0.000 0.122 0.500
Li 0.000 0.250 0.000
Li 0.000 0.375 0.500
Li 0.000 0.500 0.000
Li 0.000 0.625 0.500
Li 0.000 0.750 0.000
Li 0.000 0.878 0.500
Li 0.500 0.000 0.500
Mn 0.500 0.126 0.000
Mn 0.500 0.874 0.000
Co 0.500 0.250 0.500
Co 0.500 0.375 0.000
Co 0.500 0.500 0.500
Co 0.500 0.625 0.000
Co 0.500 0.750 0.500
O 0.264 0.000 0.781
O 0.267 0.251 0.772
O 0.267 0.749 0.772
O 0.273 0.500 0.778
O 0.275 0.376 0.272
O 0.275 0.624 0.272
O 0.288 0.132 0.243
O 0.288 0.868 0.243
O 0.712 0.132 0.757
O 0.712 0.868 0.757
O 0.725 0.376 0.728
O 0.725 0.624 0.728
O 0.727 0.500 0.222
O 0.733 0.251 0.228
O 0.733 0.749 0.228
O 0.736 0.000 0.219


No. 2
Simulated powder diffraction line list of KPrZnWO6 for Cu Kα, from a structure optimized by DFT (PBE+U).
Kinematic intensities with the Lorentz-polarization factor, no thermal factor.

Peak list (6 most intense, 2θ = 10–90°, low angle first)
d_spacing, 2theta, I_rel
4.636, 19.14, 32
2.839, 31.51, 100
2.421, 37.13, 17
2.008, 45.16, 32
1.639, 56.11, 39
1.420, 65.78, 19

Structural model:
Cell: 5.678 5.678 5.678 Å, 60.00 60.00 60.00°
Sites, in units of the cell vectors:
K 0.000 0.000 0.000
Pr 0.500 0.500 0.500
Zn 0.250 0.250 0.250
W 0.750 0.750 0.750
O 0.508 0.508 0.992
O 0.508 0.992 0.508
O 0.508 0.992 0.992
O 0.992 0.508 0.508
O 0.992 0.508 0.992
O 0.992 0.992 0.508


No. 3
Simulated powder diffraction line list of Li3Cr2P3O12 for Cu Kα, from a structure optimized by DFT (PBE+U).
Kinematic intensities with the Lorentz-polarization factor, no thermal factor.

Peak list (6 most intense, 2θ = 10–90°, low angle first)
d_spacing, 2theta, I_rel
6.187, 14.32, 33
4.350, 20.41, 89
3.723, 23.90, 41
3.698, 24.06, 100
3.064, 29.15, 40
2.746, 32.61, 33

Structural model:
Cell: 8.706 8.706 8.685 Å, 119.88 119.88 59.56°
Sites, in units of the cell vectors:
Li 0.073 0.927 0.500
Li 0.221 0.536 0.736
Li 0.536 0.221 0.236
Li 0.550 0.802 0.903
Li 0.802 0.550 0.403
Li 0.927 0.073 0.000
Cr 0.037 0.539 0.241
Cr 0.337 0.832 0.111
Cr 0.539 0.037 0.741
Cr 0.832 0.337 0.611
P 0.138 0.229 0.423
P 0.229 0.138 0.923
P 0.434 0.657 0.434
P 0.657 0.434 0.934
P 0.713 0.937 0.413
P 0.937 0.713 0.913
O 0.072 0.165 0.738
O 0.114 0.426 0.438
O 0.119 0.737 0.953
O 0.165 0.072 0.238
O 0.197 0.301 0.103
O 0.238 0.657 0.384
O 0.242 0.949 0.916
O 0.301 0.197 0.603
O 0.426 0.114 0.938
O 0.450 0.703 0.294
O 0.460 0.588 0.932
O 0.468 0.808 0.633
O 0.558 0.911 0.217
O 0.588 0.460 0.432
O 0.657 0.238 0.884
O 0.668 0.936 0.560
O 0.703 0.450 0.794
O 0.737 0.119 0.453
O 0.777 0.907 0.911
O 0.808 0.468 0.133
O 0.907 0.777 0.411
O 0.911 0.558 0.717
O 0.936 0.668 0.060
O 0.949 0.242 0.416


No. 4
Simulated powder diffraction line list of CoP2O10 for Cu Kα, from a structure optimized by DFT (PBE+U).
Kinematic intensities with the Lorentz-polarization factor, no thermal factor.

Peak list (6 most intense, 2θ = 10–90°, low angle first)
d_spacing, 2theta, I_rel
5.653, 15.68, 75
4.516, 19.66, 71
4.142, 21.46, 100
3.125, 28.56, 100
2.889, 30.96, 45
2.774, 32.27, 41

Structural model:
Cell: 5.132 9.504 8.698 Å, 90.00 126.05 90.00°
Sites, in units of the cell vectors:
Co 0.000 0.000 0.000
Co 0.000 0.500 0.500
P 0.411 0.211 0.667
P 0.411 0.289 0.167
P 0.589 0.711 0.833
P 0.589 0.789 0.333
O 0.041 0.526 0.329
O 0.041 0.974 0.829
O 0.100 0.151 0.635
O 0.100 0.349 0.135
O 0.284 0.676 0.633
O 0.284 0.824 0.133
O 0.397 0.127 0.142
O 0.397 0.373 0.642
O 0.420 0.139 0.510
O 0.420 0.361 0.010
O 0.580 0.639 0.990
O 0.580 0.861 0.490
O 0.603 0.627 0.358
O 0.603 0.873 0.858
O 0.716 0.176 0.867
O 0.716 0.324 0.367
O 0.900 0.651 0.865
O 0.900 0.849 0.365
O 0.959 0.026 0.171
O 0.959 0.474 0.671